# Nb3I8
Calculated powder XRD pattern, Cu Ka. Input: a crystal structure in the Materials Project, relaxed with GGA-PBE.

Main lines, in order of falling intensity (10 to 80 degrees two-theta):
- 30.21°, I = 100
- 28.54°, I = 51
- 11.87°, I = 50
- 47.17°, I = 42
- 43.80°, I = 33
- 23.87°, I = 28
- 33.49°, I = 26
- 53.53°, I = 24
- 37.53°, I = 19
- 27.89°, I = 14

Atomic structure:
abc: 15.567 15.567 15.567
angles: 28.67 28.67 28.67
Sites, in units of the cell vectors:
Nb  0.153  0.547  0.547
Nb  0.453  0.453  0.847
Nb  0.453  0.847  0.453
Nb  0.547  0.153  0.547
Nb  0.547  0.547  0.153
Nb  0.847  0.453  0.453
I  0.116  0.116  0.624
I  0.116  0.624  0.116
I  0.212  0.707  0.707
I  0.219  0.219  0.219
I  0.293  0.293  0.788
I  0.293  0.788  0.293
I  0.368  0.368  0.368
I  0.376  0.884  0.884
I  0.624  0.116  0.116
I  0.632  0.632  0.632
I  0.707  0.212  0.707
I  0.707  0.707  0.212
I  0.781  0.781  0.781
I  0.788  0.293  0.293
I  0.884  0.376  0.884
I  0.884  0.884  0.376